Computed XRD peak list of NbMo2S5 for copper Kα, from a DFT-relaxed cell (GGA-PBE, Alexandria).
No peak broadening, texture or thermal motion is included.

Largest 10 diffraction maxima, low angle first, 15° ≤ 2θ ≤ 90°:
2θ 27.22, I 19
2θ 29.43, I 33
2θ 35.35, I 100
2θ 40.00, I 36
2θ 41.80, I 24
2θ 42.41, I 36
2θ 44.12, I 21
2θ 45.18, I 63
2θ 59.23, I 16
2θ 61.06, I 15

Structural model:
abc: 9.218 6.929 6.864
angles: 83.87 48.36 47.77
Sites, in units of the cell vectors:
Nb (0.000, 0.000, 0.000)
Mo (0.313, 0.687, 0.313)
Mo (0.687, 0.313, 0.687)
S (0.052, 0.719, 0.281)
S (0.281, 0.948, 0.052)
S (0.500, 0.500, 0.500)
S (0.719, 0.052, 0.948)
S (0.948, 0.281, 0.719)

---

Computed XRD peak list of La5Ti for copper Kα, from a DFT-relaxed cell (GGA-PBE, Alexandria).
No peak broadening, texture or thermal motion is included.

Largest 10 diffraction maxima, low angle first, 15° ≤ 2θ ≤ 90°:
2θ 30.54, I 100
2θ 34.72, I 17
2θ 35.76, I 33
2θ 50.70, I 22
2θ 51.46, I 12
2θ 59.66, I 13
2θ 61.04, I 27
2θ 63.58, I 11
2θ 82.64, I 11
2θ 83.84, I 6

Structural model:
abc: 5.021 15.501 5.024
angles: 90.00 90.00 90.00
Sites, in units of the cell vectors:
La (0.000, 0.000, 0.000)
La (0.000, 0.158, 0.500)
La (0.000, 0.343, 0.000)
La (0.000, 0.657, 0.000)
La (0.000, 0.842, 0.500)
La (0.500, 0.157, 0.000)
La (0.500, 0.342, 0.500)
La (0.500, 0.500, 0.000)
La (0.500, 0.658, 0.500)
La (0.500, 0.843, 0.000)
Ti (0.000, 0.500, 0.500)
Ti (0.500, 0.000, 0.500)

---

Computed XRD peak list of Cu5Ni6Sn for copper Kα, from a DFT-relaxed cell (GGA-PBE, Alexandria).
No peak broadening, texture or thermal motion is included.

Largest 10 diffraction maxima, low angle first, 15° ≤ 2θ ≤ 90°:
2θ 28.31, I 1
2θ 43.17, I 100
2θ 48.77, I 17
2θ 49.04, I 17
2θ 52.92, I 13
2θ 71.66, I 10
2θ 74.81, I 9
2θ 75.03, I 9
2θ 87.27, I 12
2θ 87.69, I 11

Structural model:
abc: 5.877 5.877 6.920
angles: 90.00 90.00 142.95
Sites, in units of the cell vectors:
Cu (0.000, 0.000, 0.000)
Cu (0.325, 0.675, 0.500)
Cu (0.334, 0.666, 0.000)
Cu (0.666, 0.334, 0.000)
Cu (0.675, 0.325, 0.500)
Ni (0.170, 0.830, 0.241)
Ni (0.170, 0.830, 0.759)
Ni (0.500, 0.500, 0.240)
Ni (0.500, 0.500, 0.760)
Ni (0.830, 0.170, 0.241)
Ni (0.830, 0.170, 0.759)
Sn (0.000, 0.000, 0.500)

---

Computed XRD peak list of HfZr2Tl3 for copper Kα, from a DFT-relaxed cell (GGA-PBE, Alexandria).
No peak broadening, texture or thermal motion is included.

Largest 10 diffraction maxima, low angle first, 15° ≤ 2θ ≤ 90°:
2θ 20.10, I 5
2θ 27.82, I 5
2θ 34.56, I 100
2θ 39.75, I 34
2θ 40.86, I 16
2θ 57.47, I 12
2θ 58.32, I 22
2θ 68.83, I 27
2θ 70.36, I 13
2θ 72.90, I 12

Structural model:
abc: 3.207 3.207 13.251
angles: 90.00 90.00 90.00
Sites, in units of the cell vectors:
Hf (0.000, 0.000, 0.000)
Zr (0.000, 0.000, 0.333)
Zr (0.000, 0.000, 0.667)
Tl (0.500, 0.500, 0.165)
Tl (0.500, 0.500, 0.500)
Tl (0.500, 0.500, 0.835)

---

Computed XRD peak list of LiCeGaBr6 for copper Kα, from a DFT-relaxed cell (GGA-PBE, Alexandria).
No peak broadening, texture or thermal motion is included.

Largest 10 diffraction maxima, low angle first, 15° ≤ 2θ ≤ 90°:
2θ 15.78, I 29
2θ 19.46, I 32
2θ 28.31, I 100
2θ 36.61, I 60
2θ 44.03, I 39
2θ 47.69, I 24
2θ 53.17, I 15
2θ 58.55, I 14
2θ 72.28, I 17
2θ 76.07, I 13

Structural model:
abc: 7.125 7.125 13.547
angles: 90.00 90.00 120.00
Sites, in units of the cell vectors:
Li (0.333, 0.667, 0.250)
Li (0.667, 0.333, 0.750)
Ce (0.333, 0.667, 0.750)
Ce (0.667, 0.333, 0.250)
Ga (0.000, 0.000, 0.000)
Ga (0.000, 0.000, 0.500)
Br (0.003, 0.356, 0.133)
Br (0.003, 0.647, 0.367)
Br (0.353, 0.356, 0.367)
Br (0.353, 0.997, 0.133)
Br (0.356, 0.003, 0.633)
Br (0.356, 0.353, 0.867)
Br (0.644, 0.647, 0.133)
Br (0.644, 0.997, 0.367)
Br (0.647, 0.003, 0.867)
Br (0.647, 0.644, 0.633)
Br (0.997, 0.353, 0.633)
Br (0.997, 0.644, 0.867)

---

Computed XRD peak list of Ho4ErSc4 for copper Kα, from a DFT-relaxed cell (GGA-PBE, Alexandria).
No peak broadening, texture or thermal motion is included.

Largest 10 diffraction maxima, low angle first, 15° ≤ 2θ ≤ 90°:
2θ 17.36, I 11
2θ 20.40, I 18
2θ 27.61, I 9
2θ 32.20, I 100
2θ 36.81, I 7
2θ 37.35, I 50
2θ 53.85, I 34
2θ 64.15, I 40
2θ 67.37, I 11
2θ 88.52, I 17

Structural model:
abc: 7.615 7.615 7.615
angles: 95.73 95.73 143.17
Sites, in units of the cell vectors:
Ho (0.000, 0.329, 0.329)
Ho (0.000, 0.671, 0.671)
Ho (0.329, 0.000, 0.329)
Ho (0.671, 0.000, 0.671)
Er (0.000, 0.000, 0.000)
Sc (0.334, 0.334, 0.667)
Sc (0.334, 0.666, 0.000)
Sc (0.666, 0.334, 0.000)
Sc (0.666, 0.666, 0.333)